Entry 1:
Starting from a structure optimized by DFT (PBE), the powder diffractogram of MgAl10O16 was simulated for Cu Kα (weighted mean of Kα1 and Kα2).
Lines closer than 0.1° are merged.

Largest 8 diffraction maxima, by angle, 15° ≤ 2θ ≤ 90°:
two_theta  I/Imax
19.4  38
31.8  50
36.9  72
37.1  78
37.5  38
45.2  100
65.3  79
66.4  66

```
MgAl10O16
1.0
2.859 1.651 9.128
-2.859 1.651 9.128
0.000 -3.301 9.128
Mg Al O
1 10 16
direct
0.000 0.000 0.000 Mg
0.050 0.050 0.567 Al
0.050 0.567 0.050 Al
0.060 0.564 0.564 Al
0.118 0.118 0.118 Al
0.312 0.312 0.312 Al
0.500 0.500 0.500 Al
0.564 0.060 0.564 Al
0.564 0.564 0.060 Al
0.567 0.050 0.050 Al
0.620 0.620 0.620 Al
0.187 0.187 0.187 O
0.192 0.689 0.689 O
0.209 0.209 0.647 O
0.209 0.647 0.209 O
0.421 0.421 0.959 O
0.421 0.959 0.421 O
0.431 0.928 0.928 O
0.434 0.434 0.434 O
0.647 0.209 0.209 O
0.687 0.687 0.687 O
0.689 0.192 0.689 O
0.689 0.689 0.192 O
0.927 0.927 0.927 O
0.928 0.431 0.928 O
0.928 0.928 0.431 O
0.959 0.421 0.421 O
```

***

Entry 2:
Starting from a structure optimized by DFT (PBE), the powder diffractogram of Mg16Al12O was simulated for Cu Kα (weighted mean of Kα1 and Kα2).
Lines closer than 0.1° are merged.

Largest 8 diffraction maxima, by angle, 15° ≤ 2θ ≤ 90°:
two_theta  I/Imax
31.6  29
33.8  47
35.9  70
39.9  100
43.5  48
61.9  22
64.6  21
69.9  22

```
Mg16Al12O
1.0
-5.301 5.301 5.301
5.301 -5.301 5.301
5.301 5.301 -5.301
Mg Al O
16 12 1
direct
0.000 0.000 0.784 Mg
0.000 0.422 0.699 Mg
0.000 0.699 0.422 Mg
0.000 0.784 0.000 Mg
0.216 0.216 0.216 Mg
0.276 0.578 0.578 Mg
0.301 0.301 0.724 Mg
0.301 0.724 0.301 Mg
0.422 0.000 0.699 Mg
0.422 0.699 0.000 Mg
0.578 0.276 0.578 Mg
0.578 0.578 0.276 Mg
0.699 0.000 0.422 Mg
0.699 0.422 0.000 Mg
0.724 0.301 0.301 Mg
0.784 0.000 0.000 Mg
0.000 0.192 0.389 Al
0.000 0.389 0.192 Al
0.192 0.000 0.389 Al
0.192 0.389 0.000 Al
0.197 0.808 0.808 Al
0.389 0.000 0.192 Al
0.389 0.192 0.000 Al
0.611 0.611 0.803 Al
0.611 0.803 0.611 Al
0.803 0.611 0.611 Al
0.808 0.197 0.808 Al
0.808 0.808 0.197 Al
0.000 0.000 0.000 O
```

***

Entry 3:
Starting from a structure optimized by DFT (PBE), the powder diffractogram of Mg3Al14O24 was simulated for Cu Kα (weighted mean of Kα1 and Kα2).
Lines closer than 0.1° are merged.

Largest 8 diffraction maxima, by angle, 15° ≤ 2θ ≤ 90°:
two_theta  I/Imax
31.5  62
36.7  100
36.9  79
37.1  59
44.7  48
44.9  97
64.8  72
65.7  97

```
Mg3Al14O24
1.0
9.381 -2.869 0.000
9.381 2.869 0.000
-3.375 0.000 7.368
Mg Al O
3 14 24
direct
0.000 0.000 0.000 Mg
0.173 0.173 0.417 Mg
0.507 0.507 0.755 Mg
0.091 0.091 0.710 Al
0.092 0.576 0.724 Al
0.252 0.756 0.380 Al
0.333 0.333 0.338 Al
0.417 0.417 0.047 Al
0.419 0.928 0.037 Al
0.576 0.092 0.724 Al
0.588 0.588 0.207 Al
0.668 0.668 0.672 Al
0.752 0.752 0.373 Al
0.756 0.252 0.380 Al
0.840 0.840 0.085 Al
0.920 0.920 0.544 Al
0.928 0.419 0.037 Al
0.065 0.607 0.461 O
0.078 0.078 0.462 O
0.095 0.601 0.966 O
0.097 0.097 0.953 O
0.222 0.779 0.608 O
0.247 0.247 0.136 O
0.267 0.267 0.633 O
0.285 0.726 0.151 O
0.413 0.909 0.793 O
0.414 0.414 0.809 O
0.423 0.423 0.299 O
0.452 0.890 0.279 O
0.582 0.582 0.453 O
0.598 0.598 0.987 O
0.601 0.095 0.966 O
0.607 0.065 0.461 O
0.726 0.285 0.151 O
0.752 0.752 0.125 O
0.756 0.756 0.624 O
0.779 0.222 0.608 O
0.890 0.452 0.279 O
0.906 0.906 0.760 O
0.909 0.413 0.793 O
0.924 0.924 0.304 O
```

***

Repeat the third record exactly.
Starting from a structure optimized by DFT (PBE), the powder diffractogram of Mg3Al14O24 was simulated for Cu Kα (weighted mean of Kα1 and Kα2).
Lines closer than 0.1° are merged.

Largest 8 diffraction maxima, by angle, 15° ≤ 2θ ≤ 90°:
two_theta  I/Imax
31.5  62
36.7  100
36.9  79
37.1  59
44.7  48
44.9  97
64.8  72
65.7  97

```
Mg3Al14O24
1.0
9.381 -2.869 0.000
9.381 2.869 0.000
-3.375 0.000 7.368
Mg Al O
3 14 24
direct
0.000 0.000 0.000 Mg
0.173 0.173 0.417 Mg
0.507 0.507 0.755 Mg
0.091 0.091 0.710 Al
0.092 0.576 0.724 Al
0.252 0.756 0.380 Al
0.333 0.333 0.338 Al
0.417 0.417 0.047 Al
0.419 0.928 0.037 Al
0.576 0.092 0.724 Al
0.588 0.588 0.207 Al
0.668 0.668 0.672 Al
0.752 0.752 0.373 Al
0.756 0.252 0.380 Al
0.840 0.840 0.085 Al
0.920 0.920 0.544 Al
0.928 0.419 0.037 Al
0.065 0.607 0.461 O
0.078 0.078 0.462 O
0.095 0.601 0.966 O
0.097 0.097 0.953 O
0.222 0.779 0.608 O
0.247 0.247 0.136 O
0.267 0.267 0.633 O
0.285 0.726 0.151 O
0.413 0.909 0.793 O
0.414 0.414 0.809 O
0.423 0.423 0.299 O
0.452 0.890 0.279 O
0.582 0.582 0.453 O
0.598 0.598 0.987 O
0.601 0.095 0.966 O
0.607 0.065 0.461 O
0.726 0.285 0.151 O
0.752 0.752 0.125 O
0.756 0.756 0.624 O
0.779 0.222 0.608 O
0.890 0.452 0.279 O
0.906 0.906 0.760 O
0.909 0.413 0.793 O
0.924 0.924 0.304 O
```